Structure and theoretical XRD peak list of Ce3Pm2Au6 (DFT lattice parameters and positions (GGA-PBE); a wavelength of 1.5418 Å).
Kinematic intensities with the Lorentz-polarization factor, no thermal factor.

Cell lengths 11.7538, 11.7538, 11.7538 Å; angles 152.66, 152.66, 39.05 degrees
Fractional positions:
Ce  0.0000  0.0000  0.0000
Ce  0.1499  0.1499  0.0000
Ce  0.8501  0.8501  0.0000
Pm  0.4099  0.4099  0.0000
Pm  0.5901  0.5901  0.0000
Au  0.0677  0.5677  0.5000
Au  0.2808  0.2808  0.0000
Au  0.4323  0.9323  0.5000
Au  0.5677  0.0677  0.5000
Au  0.7192  0.7192  0.0000
Au  0.9323  0.4323  0.5000

The 8 most intense peaks (2θ from 10° to 90°), low angle first:
Position (°2θ), I_rel
24.05, 696
32.23, 1000
32.56, 507
33.29, 217
39.83, 270
46.23, 423
46.47, 379
52.77, 212